(1)
For Tl5Se2Cl, the GGA-PBE geometry in the Materials Project gives the theoretical powder diffractogram in this record (λ = 1.5418 Å (Cu Kα)).
Lines closer than 0.1° are merged.

The 8 most intense peaks (10° ≤ 2θ ≤ 90°), by angle:
2θ 23.64, d = 3.763 Å, I 23, (2 1 1)
2θ 26.36, d = 3.381 Å, I 13, (2 1 2)
2θ 30.40, d = 2.940 Å, I 100, (2 1 3)
2θ 32.28, d = 2.774 Å, I 49, (3 1 0)
2θ 46.26, d = 1.963 Å, I 12, (4 2 0)
2θ 47.35, d = 1.920 Å, I 10, (4 1 3)
2θ 54.06, d = 1.696 Å, I 10, (5 0 2)
2θ 60.55, d = 1.529 Å, I 14, (5 2 3)

Cell and atoms:
Cell: 8.7710 8.7710 13.3301 Å, 90.00 90.00 90.00°
Space group P4/ncc (No. 130, origin choice 2)
Inequivalent atoms, fractional coordinates:
Tl (0.0844, 0.6231, 0.1072) (multiplicity 16)
Tl (0.2500, 0.2500, 0.2079) (multiplicity 4)
Se (0.0893, 0.5893, 0.7500) (multiplicity 8)
Cl (0.2500, 0.2500, 0.4578) (multiplicity 4)

(2)
For ZrSe2Cl12, the GGA-PBE geometry in the Materials Project gives the theoretical powder diffractogram in this record (λ = 1.5418 Å (Cu Kα)).
Lines closer than 0.1° are merged.

The 8 most intense peaks (10° ≤ 2θ ≤ 90°), by angle:
2θ 15.21, d = 5.824 Å, I 27, (1 1 3)
2θ 15.53, d = 5.705 Å, I 62, (0 0 4)
2θ 16.15, d = 5.487 Å, I 100, (2 0 2)
2θ 21.73, d = 4.089 Å, I 27, (1 3 1)
2θ 25.07, d = 3.552 Å, I 34, (2 2 4)
2θ 30.58, d = 2.923 Å, I 33, (2 4 0)
2θ 30.70, d = 2.912 Å, I 66, (2 2 6)
2θ 39.71, d = 2.270 Å, I 69, (4 4 0)

Cell and atoms:
Cell: 12.5275 13.2201 22.7525 Å, 90.00 90.00 90.00°
Space group Fdd2 (No. 43)
Inequivalent atoms, fractional coordinates:
Zr (0.0000, 0.0000, 0.0000) (multiplicity 8)
Se (0.0060, 0.2738, 0.9179) (multiplicity 16)
Cl (0.1048, 0.3273, 0.9910) (multiplicity 16)
Cl (0.1092, 0.0851, 0.9210) (multiplicity 16)
Cl (0.1086, 0.3355, 0.8472) (multiplicity 16)
Cl (0.1119, 0.3429, 0.4959) (multiplicity 16)
Cl (0.1132, 0.1036, 0.4212) (multiplicity 16)
Cl (0.1236, 0.0690, 0.0745) (multiplicity 16)

(3)
For SiCl4, the GGA-PBE geometry in the Materials Project gives the theoretical powder diffractogram in this record (λ = 1.5418 Å (Cu Kα)).
Lines closer than 0.1° are merged.

The 8 most intense peaks (10° ≤ 2θ ≤ 90°), by angle:
2θ 15.58, d = 5.688 Å, I 91, (0 1 1)
2θ 16.89, d = 5.251 Å, I 79, (1 1 -1)
2θ 17.50, d = 5.069 Å, I 72, (2 0 0)
2θ 25.39, d = 3.508 Å, I 95, (2 1 -2)
2θ 27.41, d = 3.254 Å, I 89, (2 0 2)
2θ 28.82, d = 3.098 Å, I 85, (1 1 -3)
2θ 29.00, d = 3.079 Å, I 75, (3 1 -1)
2θ 29.45, d = 3.033 Å, I 100, (1 2 1)

Cell and atoms:
Cell: 10.3991 6.8560 10.4867 Å, 90.00 102.89 90.00°
Space group P2_1/c (No. 14)
Inequivalent atoms, fractional coordinates:
Si (0.2503, 0.0717, 0.1431) (multiplicity 4)
Cl (0.0979, 0.5691, 0.6959) (multiplicity 4)
Cl (0.1971, 0.1478, 0.5940) (multiplicity 4)
Cl (0.2958, 0.5660, 0.4870) (multiplicity 4)
Cl (0.4101, 0.0691, 0.2957) (multiplicity 4)

(4)
For SiCl2, the GGA-PBE geometry in the Materials Project gives the theoretical powder diffractogram in this record (λ = 1.5418 Å (Cu Kα)).
Lines closer than 0.1° are merged.

The 8 most intense peaks (10° ≤ 2θ ≤ 90°), by angle:
2θ 12.83, d = 6.898 Å, I 43, (0 0 2)
2θ 13.89, d = 6.376 Å, I 32, (0 1 1)
2θ 24.77, d = 3.595 Å, I 13, (0 2 0)
2θ 25.61, d = 3.479 Å, I 14, (0 2 1)
2θ 26.17, d = 3.405 Å, I 100, (1 1 1)
2θ 28.71, d = 3.110 Å, I 18, (0 1 4)
2θ 45.99, d = 1.973 Å, I 14, (1 3 2)
2θ 52.44, d = 1.745 Å, I 15, (1 2 6)

Cell and atoms:
Cell: 4.0271 7.1894 13.7962 Å, 90.00 90.00 90.00°
Space group P2_12_12_1 (No. 19)
Inequivalent atoms, fractional coordinates:
Si (0.0245, 0.1638, 0.0108) (multiplicity 4)
Cl (0.0263, 0.0576, 0.1497) (multiplicity 4)
Cl (0.0266, 0.9490, 0.9118) (multiplicity 4)

(5)
For SmCl2, the GGA-PBE geometry in the Materials Project gives the theoretical powder diffractogram in this record (λ = 1.5418 Å (Cu Kα)).
Lines closer than 0.1° are merged.

The 8 most intense peaks (10° ≤ 2θ ≤ 90°), by angle:
2θ 13.39, d = 6.611 Å, I 58, (1 0 1)
2θ 20.11, d = 4.415 Å, I 56, (2 0 1)
2θ 22.33, d = 3.981 Å, I 81, (1 0 2)
2θ 28.65, d = 3.115 Å, I 44, (1 1 1)
2θ 30.72, d = 2.911 Å, I 100, (2 1 0)
2θ 32.46, d = 2.758 Å, I 51, (2 1 1)
2θ 36.49, d = 2.462 Å, I 39, (4 0 1)
2θ 42.30, d = 2.137 Å, I 60, (3 1 2)

Cell and atoms:
Cell: 10.2756 3.5323 8.6356 Å, 90.00 90.00 90.00°
Space group Pnma (No. 62)
Inequivalent atoms, fractional coordinates:
Sm (0.1758, 0.2500, 0.1181) (multiplicity 4)
Cl (0.0431, 0.2500, 0.8300) (multiplicity 4)
Cl (0.1639, 0.2500, 0.4439) (multiplicity 4)

(6)
For SmCl2, the GGA-PBE geometry in the Materials Project gives the theoretical powder diffractogram in this record (λ = 1.5418 Å (Cu Kα)).
Lines closer than 0.1° are merged.

The 8 most intense peaks (10° ≤ 2θ ≤ 90°), by angle:
2θ 17.76, d = 4.994 Å, I 100, (1 1 0)
2θ 28.11, d = 3.174 Å, I 52, (1 0 1)
2θ 35.96, d = 2.497 Å, I 33, (2 2 0)
2θ 38.12, d = 2.361 Å, I 66, (2 1 1)
2θ 40.38, d = 2.234 Å, I 22, (3 1 0)
2θ 46.26, d = 1.963 Å, I 26, (3 0 1)
2θ 53.41, d = 1.715 Å, I 14, (3 2 1)
2θ 71.93, d = 1.313 Å, I 14, (4 3 1)

Cell and atoms:
Cell: 7.0633 7.0633 3.5529 Å, 90.00 90.00 90.00°
Space group P4_2/mnm (No. 136)
Inequivalent atoms, fractional coordinates:
Sm (0.0000, 0.0000, 0.0000) (multiplicity 2)
Cl (0.2193, 0.2193, 0.5000) (multiplicity 4)

(7)
For SnCl, the GGA-PBE geometry in the Materials Project gives the theoretical powder diffractogram in this record (λ = 1.5418 Å (Cu Kα)).
Lines closer than 0.1° are merged.

The 8 most intense peaks (10° ≤ 2θ ≤ 90°), by angle:
2θ 17.63, d = 5.031 Å, I 39, (0 0 2)
2θ 29.49, d = 3.029 Å, I 31, (1 0 0)
2θ 30.83, d = 2.900 Å, I 100, (1 0 1)
2θ 35.69, d = 2.516 Å, I 24, (0 0 4)
2θ 40.11, d = 2.248 Å, I 60, (1 0 3)
2θ 52.31, d = 1.749 Å, I 24, (1 1 0)
2θ 54.76, d = 1.676 Å, I 19, (0 0 6)
2θ 64.94, d = 1.436 Å, I 25, (1 1 4)

Cell and atoms:
Cell: 3.4975 3.4975 10.0622 Å, 90.00 90.00 120.00°
Space group P6_3mc (No. 186)
Inequivalent atoms, fractional coordinates:
Sn (0.3333, 0.6667, 0.0000) (multiplicity 2)
Cl (0.3333, 0.6667, 0.7340) (multiplicity 2)

(8)
For Sn2W3Cl14, the GGA-PBE geometry in the Materials Project gives the theoretical powder diffractogram in this record (λ = 1.5418 Å (Cu Kα)).
Lines closer than 0.1° are merged.

The 8 most intense peaks (10° ≤ 2θ ≤ 90°), by angle:
2θ 10.50, d = 8.426 Å, I 39, (1 0 0)
2θ 12.66, d = 6.991 Å, I 72, (1 0 1)
2θ 14.14, d = 6.263 Å, I 100, (0 0 2)
2θ 17.65, d = 5.026 Å, I 47, (1 0 2)
2θ 18.24, d = 4.865 Å, I 27, (1 1 0)
2θ 28.93, d = 3.086 Å, I 30, (1 2 1)
2θ 35.45, d = 2.532 Å, I 33, (1 2 3)
2θ 48.66, d = 1.871 Å, I 27, (3 0 5)

Cell and atoms:
Cell: 9.7294 9.7294 12.5254 Å, 90.00 90.00 120.00°
Space group P6_3 (No. 173)
Inequivalent atoms, fractional coordinates:
Sn (0.0000, 0.0000, 0.0000) (multiplicity 2)
Sn (0.3333, 0.6667, 0.0485) (multiplicity 2)
W (0.1466, 0.5895, 0.5835) (multiplicity 6)
Cl (0.0000, 0.0000, 0.3072) (multiplicity 2)
Cl (0.0148, 0.6504, 0.9843) (multiplicity 6)
Cl (0.0238, 0.6999, 0.4719) (multiplicity 6)
Cl (0.0992, 0.5047, 0.1937) (multiplicity 6)
Cl (0.2024, 0.4438, 0.7166) (multiplicity 6)
Cl (0.3333, 0.6667, 0.4370) (multiplicity 2)

(9)
For Sr2TlCl5, the GGA-PBE geometry in the Materials Project gives the theoretical powder diffractogram in this record (λ = 1.5418 Å (Cu Kα)).
Lines closer than 0.1° are merged.

The 8 most intense peaks (10° ≤ 2θ ≤ 90°), by angle:
2θ 22.22, d = 4.001 Å, I 57, (0 2 0)
2θ 23.46, d = 3.792 Å, I 100, (0 1 3)
2θ 23.66, d = 3.761 Å, I 58, (2 1 -1)
2θ 24.06, d = 3.698 Å, I 51, (2 0 2)
2θ 30.80, d = 2.903 Å, I 74, (2 1 -3)
2θ 32.98, d = 2.716 Å, I 86, (2 2 2)
2θ 39.93, d = 2.258 Å, I 51, (4 0 0)
2θ 41.92, d = 2.155 Å, I 42, (0 0 6)

Cell and atoms:
Cell: 9.0252 8.0019 12.9167 Å, 90.00 90.15 90.00°
Space group P2_1/c (No. 14)
Inequivalent atoms, fractional coordinates:
Sr (0.0021, 0.0237, 0.1774) (multiplicity 4)
Sr (0.2466, 0.5672, 0.0054) (multiplicity 4)
Tl (0.4956, 0.5180, 0.3259) (multiplicity 4)
Cl (0.0395, 0.1592, 0.3985) (multiplicity 4)
Cl (0.2124, 0.1631, 0.6840) (multiplicity 4)
Cl (0.2121, 0.5513, 0.5029) (multiplicity 4)
Cl (0.2225, 0.6939, 0.7859) (multiplicity 4)
Cl (0.4678, 0.1594, 0.4098) (multiplicity 4)

(10)
For SrZnCl4, the GGA-PBE geometry in the Materials Project gives the theoretical powder diffractogram in this record (λ = 1.5418 Å (Cu Kα)).
Lines closer than 0.1° are merged.

The 8 most intense peaks (10° ≤ 2θ ≤ 90°), by angle:
2θ 22.69, d = 3.919 Å, I 100, (1 1 2)
2θ 31.11, d = 2.875 Å, I 38, (1 1 4)
2θ 36.80, d = 2.442 Å, I 47, (2 0 4)
2θ 38.81, d = 2.320 Å, I 22, (2 2 0)
2θ 41.85, d = 2.158 Å, I 21, (1 1 6)
2θ 45.43, d = 1.997 Å, I 38, (1 3 2)
2θ 57.72, d = 1.597 Å, I 13, (2 0 8)
2θ 58.39, d = 1.581 Å, I 17, (3 1 6)

Cell and atoms:
Cell: 6.5632 6.5632 14.6282 Å, 90.00 90.00 90.00°
Space group I4_1/a (No. 88, origin choice 2)
Inequivalent atoms, fractional coordinates:
Sr (0.0000, 0.2500, 0.1250) (multiplicity 4)
Zn (0.0000, 0.2500, 0.6250) (multiplicity 4)
Cl (0.1561, 0.0096, 0.2941) (multiplicity 16)

(11)
For SrZnCl2, the GGA-PBE geometry in the Materials Project gives the theoretical powder diffractogram in this record (λ = 1.5418 Å (Cu Kα)).
Lines closer than 0.1° are merged.

The 8 most intense peaks (10° ≤ 2θ ≤ 90°), by angle:
2θ 11.76, d = 7.524 Å, I 14, (1 0 1)
2θ 23.65, d = 3.762 Å, I 35, (2 0 2)
2θ 27.37, d = 3.258 Å, I 100, (2 2 0)
2θ 39.10, d = 2.304 Å, I 67, (4 0 0)
2θ 46.25, d = 1.963 Å, I 19, (4 2 2)
2θ 48.39, d = 1.881 Å, I 22, (4 0 4)
2θ 63.95, d = 1.456 Å, I 15, (6 2 0)
2θ 70.89, d = 1.329 Å, I 11, (6 2 4)

Cell and atoms:
Cell: 9.2046 9.2046 13.0632 Å, 90.00 90.00 90.00°
Space group I4_1/amd (No. 141, origin choice 2)
Inequivalent atoms, fractional coordinates:
Sr (0.0000, 0.0000, 0.0000) (multiplicity 8)
Zn (0.0000, 0.0000, 0.5000) (multiplicity 8)
Cl (0.0000, 0.0485, 0.7757) (multiplicity 16)

Please write out number 11 again, unchanged.
For SrZnCl2, the GGA-PBE geometry in the Materials Project gives the theoretical powder diffractogram in this record (λ = 1.5418 Å (Cu Kα)).
Lines closer than 0.1° are merged.

The 8 most intense peaks (10° ≤ 2θ ≤ 90°), by angle:
2θ 11.76, d = 7.524 Å, I 14, (1 0 1)
2θ 23.65, d = 3.762 Å, I 35, (2 0 2)
2θ 27.37, d = 3.258 Å, I 100, (2 2 0)
2θ 39.10, d = 2.304 Å, I 67, (4 0 0)
2θ 46.25, d = 1.963 Å, I 19, (4 2 2)
2θ 48.39, d = 1.881 Å, I 22, (4 0 4)
2θ 63.95, d = 1.456 Å, I 15, (6 2 0)
2θ 70.89, d = 1.329 Å, I 11, (6 2 4)

Cell and atoms:
Cell: 9.2046 9.2046 13.0632 Å, 90.00 90.00 90.00°
Space group I4_1/amd (No. 141, origin choice 2)
Inequivalent atoms, fractional coordinates:
Sr (0.0000, 0.0000, 0.0000) (multiplicity 8)
Zn (0.0000, 0.0000, 0.5000) (multiplicity 8)
Cl (0.0000, 0.0485, 0.7757) (multiplicity 16)